(1)
Na2Sr9Ga3: theoretical powder X-ray diffraction pattern (Cu Kα (λ = 1.5418 Å)), based on a cell relaxed with PBE.
Neutral-atom scattering factors, no anomalous dispersion.

The 12 most intense peaks (2θ from 10° to 80°), sorted by position:
(hkl)	two_theta	d [Å]	I_rel
0 0 2	13.78	6.427	26
3 1 2	27.04	3.298	60
0 2 3	27.27	3.271	40
3 1 -4	27.37	3.259	40
0 0 4	27.76	3.214	17
6 0 -2	30.35	2.945	52
3 3 -1	30.53	2.928	100
3 1 3	32.79	2.731	21
0 2 4	33.02	2.713	21
3 1 -5	33.14	2.704	20
3 3 1	33.58	2.669	19
0 4 3	41.45	2.178	15

Structure:
```
data_Na2Sr9Ga3
_space_group_name_H-M_alt 'C 1 2/c 1'
_space_group_IT_number 15
_cell_length_a 17.669
_cell_length_b 10.123
_cell_length_c 14.070
_cell_angle_alpha 90.00
_cell_angle_beta 113.99
_cell_angle_gamma 90.00
loop_
_space_group_symop_operation_xyz
'x,y,z'
'-x,-y,-z'
'-x,y,-z+1/2'
'x,-y,z+1/2'
'x+1/2,y+1/2,z'
'-x+1/2,-y+1/2,-z'
'-x+1/2,y+1/2,-z+1/2'
'x+1/2,-y+1/2,z+1/2'
loop_
_atom_site_label
_atom_site_fract_x
_atom_site_fract_y
_atom_site_fract_z
Na1 0.168 0.084 0.251
Sr1 0.000 0.320 0.250
Sr2 0.058 0.059 0.924
Sr3 0.108 0.407 0.051
Sr4 0.133 0.285 0.749
Sr5 0.237 0.405 0.425
Ga1 0.083 0.256 0.500
Ga2 0.250 0.250 0.000
```


(2)
Na3Sr8Ga2: theoretical powder X-ray diffraction pattern (Cu Kα (λ = 1.5418 Å)), based on a cell relaxed with PBE.
Neutral-atom scattering factors, no anomalous dispersion.

The 12 most intense peaks (2θ from 10° to 80°), sorted by position:
(hkl)	two_theta	d [Å]	I_rel
2 0 1	22.78	3.904	62
2 4 0	25.41	3.505	16
1 5 1	29.18	3.061	62
2 4 1	29.60	3.018	100
0 0 2	30.12	2.967	54
2 6 0	33.14	2.703	23
4 0 0	34.61	2.592	29
3 5 1	38.31	2.349	19
4 0 2	46.52	1.952	25
0 10 1	50.35	1.812	14
2 4 3	53.16	1.723	19
0 0 4	62.57	1.485	16

Structure:
```
data_Na3Sr8Ga2
_space_group_name_H-M_alt 'C m m m'
_space_group_IT_number 65
_space_group_name_Hall '-C 2 2'
_cell_length_a 10.366
_cell_length_b 19.029
_cell_length_c 5.935
_cell_angle_alpha 90.00
_cell_angle_beta 90.00
_cell_angle_gamma 90.00
loop_
_atom_site_label
_atom_site_fract_x
_atom_site_fract_y
_atom_site_fract_z
Na1 0.000 0.000 0.000
Na2 0.176 0.500 0.500
Sr1 0.000 0.115 0.500
Sr2 0.000 0.304 0.500
Sr3 0.231 0.355 0.000
Ga1 0.000 0.229 0.000
```


(3)
NaSr3Ga: theoretical powder X-ray diffraction pattern (Cu Kα (λ = 1.5418 Å)), based on a cell relaxed with PBE.
Neutral-atom scattering factors, no anomalous dispersion.

The 12 most intense peaks (2θ from 10° to 80°), sorted by position:
(hkl)	two_theta	d [Å]	I_rel
1 1 1	17.85	4.969	29
1 2 -1	24.00	3.707	27
2 1 1	25.80	3.453	57
0 2 2	26.79	3.328	49
1 2 -2	27.17	3.282	100
2 0 2	29.01	3.078	69
2 2 0	29.31	3.047	79
2 1 -3	29.62	3.016	28
3 0 -2	30.63	2.919	71
1 0 -4	31.86	2.809	66
0 3 1	33.05	2.710	31
0 3 2	36.06	2.491	54

Structure:
```
data_NaSr3Ga
_space_group_name_H-M_alt 'P 1 21/c 1'
_space_group_IT_number 14
_cell_length_a 9.148
_cell_length_b 8.395
_cell_length_c 11.254
_cell_angle_alpha 90.00
_cell_angle_beta 104.42
_cell_angle_gamma 90.00
loop_
_space_group_symop_operation_xyz
'x,y,z'
'-x,-y,-z'
'-x,y+1/2,-z+1/2'
'x,-y+1/2,z+1/2'
loop_
_atom_site_label
_atom_site_fract_x
_atom_site_fract_y
_atom_site_fract_z
Na1 0.231 0.045 0.255
Sr1 0.054 0.731 0.036
Sr2 0.301 0.525 0.363
Sr3 0.412 0.144 0.592
Ga1 0.414 0.748 0.623
```


(4)
NaTbGa6: theoretical powder X-ray diffraction pattern (Cu Kα (λ = 1.5418 Å)), based on a cell relaxed with PBE.
Neutral-atom scattering factors, no anomalous dispersion.

The 12 most intense peaks (2θ from 10° to 80°), sorted by position:
(hkl)	two_theta	d [Å]	I_rel
0 1 0	14.88	5.952	20
0 1 1	20.67	4.296	14
1 1 1	29.09	3.070	32
0 2 1	33.39	2.684	37
1 0 2	35.43	2.534	57
1 1 2	38.62	2.331	29
1 2 1	39.36	2.289	100
2 0 0	41.15	2.194	36
0 1 3	46.47	1.954	18
2 2 1	53.98	1.699	27
2 1 3	63.78	1.459	11
3 2 1	73.82	1.284	27

Structure:
```
data_NaTbGa6
_space_group_name_H-M_alt 'P m m 2'
_space_group_IT_number 25
_cell_length_a 4.388
_cell_length_b 5.952
_cell_length_c 6.207
_cell_angle_alpha 90.00
_cell_angle_beta 90.00
_cell_angle_gamma 90.00
loop_
_space_group_symop_operation_xyz
'x,y,z'
'-x,-y,z'
'-x,y,z'
'x,-y,z'
loop_
_atom_site_label
_atom_site_fract_x
_atom_site_fract_y
_atom_site_fract_z
Na1 0.000 0.000 0.000
Tb1 0.500 0.500 0.187
Ga1 0.000 0.264 0.448
Ga2 0.000 0.500 0.841
Ga3 0.500 0.000 0.348
Ga4 0.500 0.236 0.735
```


(5)
NaGa2Te4: theoretical powder X-ray diffraction pattern (Cu Kα (λ = 1.5418 Å)), based on a cell relaxed with PBE.
Neutral-atom scattering factors, no anomalous dispersion.

The 12 most intense peaks (2θ from 10° to 80°), sorted by position:
(hkl)	two_theta	d [Å]	I_rel
1 1 0	15.47	5.727	39
0 0 2	25.89	3.441	13
2 1 1	27.83	3.205	100
2 2 0	31.23	2.864	20
2 0 2	34.20	2.622	54
3 1 2	44.08	2.055	26
2 1 3	46.88	1.938	24
3 3 0	47.63	1.909	16
4 1 1	48.17	1.889	33
4 1 3	62.22	1.492	15
5 3 2	73.56	1.288	18
3 3 4	74.20	1.278	9

Structure:
```
data_NaGa2Te4
_space_group_name_H-M_alt 'I 4 2 2'
_space_group_IT_number 97
_space_group_name_Hall 'I 4 2'
_cell_length_a 8.100
_cell_length_b 8.100
_cell_length_c 6.882
_cell_angle_alpha 90.00
_cell_angle_beta 90.00
_cell_angle_gamma 90.00
loop_
_atom_site_label
_atom_site_fract_x
_atom_site_fract_y
_atom_site_fract_z
Na1 0.000 0.000 0.000
Ga1 0.000 0.500 0.000
Te1 0.178 0.322 0.750
```


(6)
NaGaTe2: theoretical powder X-ray diffraction pattern (Cu Kα (λ = 1.5418 Å)), based on a cell relaxed with PBE.
Neutral-atom scattering factors, no anomalous dispersion.

The 12 most intense peaks (2θ from 10° to 80°), sorted by position:
(hkl)	two_theta	d [Å]	I_rel
1 1 1	12.72	6.959	27
1 1 2	16.64	5.329	32
2 2 1	22.87	3.889	33
2 2 -2	23.06	3.856	100
2 2 2	25.60	3.479	31
2 2 -3	25.89	3.442	37
2 2 3	29.28	3.050	66
2 2 -4	29.64	3.014	35
4 0 4	41.59	2.171	23
4 0 -6	42.32	2.135	24
0 4 5	42.78	2.114	55
4 4 -1	43.27	2.091	44

Structure:
```
data_NaGaTe2
_space_group_name_H-M_alt 'C 1 2/c 1'
_space_group_IT_number 15
_cell_length_a 12.045
_cell_length_b 11.624
_cell_length_c 15.650
_cell_angle_alpha 90.00
_cell_angle_beta 100.12
_cell_angle_gamma 90.00
loop_
_space_group_symop_operation_xyz
'x,y,z'
'-x,-y,-z'
'-x,y,-z+1/2'
'x,-y,z+1/2'
'x+1/2,y+1/2,z'
'-x+1/2,-y+1/2,-z'
'-x+1/2,y+1/2,-z+1/2'
'x+1/2,-y+1/2,z+1/2'
loop_
_atom_site_label
_atom_site_fract_x
_atom_site_fract_y
_atom_site_fract_z
Na1 0.025 0.133 0.087
Na2 0.203 0.474 0.137
Ga1 0.108 0.186 0.658
Ga2 0.135 0.434 0.849
Te1 0.000 0.046 0.750
Te2 0.000 0.419 0.250
Te3 0.006 0.338 0.951
Te4 0.205 0.059 0.550
Te5 0.239 0.200 0.232
```